For K3Li2PdF8, a DFT-relaxed cell (PBE, Alexandria) gives the calculated X-ray diffraction stick pattern in this record (Cu Kα X-rays).
Kinematic intensities with the Lorentz-polarization factor, no thermal factor.

Atomic structure:
a b c (Å): 5.806 5.806 7.569
angles (deg): 90.00 90.00 120.00
Positions (direct):
K (0.000, 0.000, 0.000)
K (0.333, 0.667, 0.660)
K (0.667, 0.333, 0.340)
Li (0.333, 0.667, 0.213)
Li (0.667, 0.333, 0.787)
Pd (0.000, 0.000, 0.500)
F (0.165, 0.330, 0.339)
F (0.165, 0.835, 0.339)
F (0.330, 0.165, 0.661)
F (0.333, 0.667, 0.982)
F (0.667, 0.333, 0.018)
F (0.670, 0.835, 0.339)
F (0.835, 0.165, 0.661)
F (0.835, 0.670, 0.661)

Main lines, in order of rising 2θ (10° ≤ 2θ ≤ 90°):
Position (°2θ)	I_rel
11.69	100
17.64	73
21.21	59
29.54	80
30.80	99
37.70	41
39.11	45
43.20	68
53.99	29
64.17	28



For K2LiScF6, a DFT-relaxed cell (PBE, Alexandria) gives the calculated X-ray diffraction stick pattern in this record (Cu Kα X-rays).
Kinematic intensities with the Lorentz-polarization factor, no thermal factor.

Atomic structure:
a b c (Å): 5.849 5.849 5.849
angles (deg): 60.00 60.00 60.00
Positions (direct):
K (0.250, 0.250, 0.250)
K (0.750, 0.750, 0.750)
Li (0.000, 0.000, 0.000)
Sc (0.500, 0.500, 0.500)
F (0.254, 0.254, 0.746)
F (0.254, 0.746, 0.254)
F (0.254, 0.746, 0.746)
F (0.746, 0.254, 0.254)
F (0.746, 0.254, 0.746)
F (0.746, 0.746, 0.254)

Main lines, in order of rising 2θ (10° ≤ 2θ ≤ 90°):
Position (°2θ)	I_rel
18.58	43
30.57	81
36.01	18
37.67	78
43.77	100
54.33	29
63.63	53
76.36	17
80.43	16
88.44	14